[1]
Computed PXRD pattern of ZrCoNi for Cu Kα (λ = 1.5418 Å), from DFT lattice parameters and positions (GGA-PBE).
Peak positions follow from Bragg's law for the DFT cell and can differ from measured ones.

Cell and atoms:
Unit cell a=4.8600 b=4.9364 c=6.9367 alpha=90.00 beta=90.00 gamma=90.00
Fractional positions:
Zr  0.0000  0.2500  0.1272
Zr  0.0000  0.7500  0.8728
Zr  0.5000  0.2500  0.3728
Zr  0.5000  0.7500  0.6272
Co  0.0000  0.0000  0.5000
Co  0.0000  0.5000  0.5000
Co  0.5000  0.0000  0.0000
Co  0.5000  0.5000  0.0000
Ni  0.2500  0.2500  0.7500
Ni  0.2500  0.7500  0.2500
Ni  0.7500  0.2500  0.7500
Ni  0.7500  0.7500  0.2500

Peak list (12 most intense, 10 to 90 degrees two-theta, most intense first)
(hkl), 2θ (°), I_rel
0 1 3, 43.15, 100
2 1 1, 43.51, 70
1 1 2, 36.67, 57
1 0 3, 43.34, 35
2 2 4, 77.97, 31
0 2 2, 45.08, 30
2 0 2, 45.58, 27
0 1 5, 70.46, 23
0 2 0, 36.40, 16
3 2 1, 70.90, 14
2 0 0, 36.99, 13
1 3 2, 65.68, 10

[2]
Computed PXRD pattern of Zr2CoNi for Cu Kα (λ = 1.5418 Å), from DFT lattice parameters and positions (GGA-PBE).
Peak positions follow from Bragg's law for the DFT cell and can differ from measured ones.

Cell and atoms:
Unit cell a=4.0885 b=3.3170 c=9.8959 alpha=90.00 beta=90.00 gamma=90.00
Fractional positions:
Zr  0.0000  0.0000  0.0000
Zr  0.0000  0.5000  0.5000
Zr  0.5000  0.0000  0.2795
Zr  0.5000  0.5000  0.7795
Co  0.0000  0.0000  0.7267
Co  0.0000  0.5000  0.2267
Ni  0.5000  0.0000  0.5583
Ni  0.5000  0.5000  0.0583

Peak list (12 most intense, 10 to 90 degrees two-theta, most intense first)
(hkl), 2θ (°), I_rel
1 1 1, 36.03, 100
1 1 3, 44.63, 59
0 0 4, 36.31, 33
2 0 0, 44.31, 31
0 1 3, 38.49, 25
1 0 4, 42.72, 22
0 2 0, 55.40, 16
2 0 4, 58.58, 15
2 1 7, 89.27, 14
2 1 3, 60.11, 13
2 2 0, 73.53, 13
1 0 2, 28.32, 12

Copy entry 2 word for word.
Computed PXRD pattern of Zr2CoNi for Cu Kα (λ = 1.5418 Å), from DFT lattice parameters and positions (GGA-PBE).
Peak positions follow from Bragg's law for the DFT cell and can differ from measured ones.

Cell and atoms:
Unit cell a=4.0885 b=3.3170 c=9.8959 alpha=90.00 beta=90.00 gamma=90.00
Fractional positions:
Zr  0.0000  0.0000  0.0000
Zr  0.0000  0.5000  0.5000
Zr  0.5000  0.0000  0.2795
Zr  0.5000  0.5000  0.7795
Co  0.0000  0.0000  0.7267
Co  0.0000  0.5000  0.2267
Ni  0.5000  0.0000  0.5583
Ni  0.5000  0.5000  0.0583

Peak list (12 most intense, 10 to 90 degrees two-theta, most intense first)
(hkl), 2θ (°), I_rel
1 1 1, 36.03, 100
1 1 3, 44.63, 59
0 0 4, 36.31, 33
2 0 0, 44.31, 31
0 1 3, 38.49, 25
1 0 4, 42.72, 22
0 2 0, 55.40, 16
2 0 4, 58.58, 15
2 1 7, 89.27, 14
2 1 3, 60.11, 13
2 2 0, 73.53, 13
1 0 2, 28.32, 12